Entry 1:
Simulated powder XRD pattern of Ba2CoMoO6 for copper Kα, from a PBE+U-relaxed structure.
Neutral-atom scattering factors, no anomalous dispersion.

Crystal structure
```
data_Ba2CoMoO6
_chemical_formula_sum 'Ba8 Co4 Mo4 O24'
_cell_length_a 8.211
_cell_length_b 8.211
_cell_length_c 8.211
_cell_angle_alpha 90.00
_cell_angle_beta 90.00
_cell_angle_gamma 90.00
_space_group_name_H-M_alt 'F m -3 m'
_space_group_IT_number 225
_space_group_name_Hall '-F 4 2 3'
loop_
_atom_site_label
_atom_site_fract_x
_atom_site_fract_y
_atom_site_fract_z
_atom_site_occupancy
Ba1 0.250 0.250 0.250 1
Co1 0.000 0.000 0.000 1
Mo1 0.000 0.000 0.500 1
O1 0.000 0.000 0.261 1
```

Main lines, low angle first (5 to 70 degrees two-theta):
index, 2θ (°), d (Å), Rel. int.
2 0 0, 21.65, 4.105, 3.2
2 2 0, 30.80, 2.903, 100.0
2 2 2, 37.96, 2.370, 9.9
4 0 0, 44.12, 2.053, 31.8
4 2 2, 54.77, 1.676, 38.8
4 4 0, 64.16, 1.451, 19.2

Entry 2:
Simulated powder XRD pattern of BaSrMo2O6 for copper Kα, from a PBE+U-relaxed structure.
Neutral-atom scattering factors, no anomalous dispersion.

Crystal structure
```
data_BaSrMo2O6
_chemical_formula_sum 'Ba4 Sr4 Mo8 O24'
_cell_length_a 8.234
_cell_length_b 8.234
_cell_length_c 8.234
_cell_angle_alpha 90.00
_cell_angle_beta 90.00
_cell_angle_gamma 90.00
_space_group_name_H-M_alt 'F m -3 m'
_space_group_IT_number 225
_space_group_name_Hall '-F 4 2 3'
loop_
_atom_site_label
_atom_site_fract_x
_atom_site_fract_y
_atom_site_fract_z
_atom_site_occupancy
Ba1 0.000 0.000 0.000 1
Sr1 0.000 0.000 0.500 1
Mo1 0.250 0.250 0.250 1
O1 0.000 0.250 0.250 1
```

Main lines, low angle first (5 to 70 degrees two-theta):
index, 2θ (°), d (Å), Rel. int.
1 1 1, 18.67, 4.754, 2.9
2 2 0, 30.71, 2.911, 100.0
2 2 2, 37.85, 2.377, 3.8
4 0 0, 43.99, 2.058, 32.4
4 2 2, 54.60, 1.681, 39.2
4 4 0, 63.96, 1.456, 19.7

Entry 3:
Simulated powder XRD pattern of MgCo2Ni4O8 for copper Kα, from a PBE+U-relaxed structure.
Neutral-atom scattering factors, no anomalous dispersion.

Crystal structure
```
data_MgCo2Ni4O8
_chemical_formula_sum 'Mg1 Co2 Ni4 O8'
_cell_length_a 5.840
_cell_length_b 5.848
_cell_length_c 6.161
_cell_angle_alpha 118.31
_cell_angle_beta 90.05
_cell_angle_gamma 119.86
_space_group_name_H-M_alt 'P 1'
_space_group_IT_number 1
_space_group_name_Hall 'P 1'
loop_
_atom_site_label
_atom_site_fract_x
_atom_site_fract_y
_atom_site_fract_z
_atom_site_occupancy
Mg1 0.000 0.000 0.000 1
Co1 0.191 0.359 0.463 1
Co2 0.888 0.738 0.537 1
Ni1 0.010 0.514 0.996 1
Ni2 0.514 0.016 0.004 1
Ni3 0.515 0.517 0.999 1
Ni4 0.527 0.033 0.500 1
O1 0.259 0.016 0.752 1
O2 0.259 0.019 0.250 1
O3 0.261 0.511 0.247 1
O4 0.279 0.550 0.804 1
O5 0.742 0.477 0.196 1
O6 0.767 0.015 0.752 1
O7 0.767 0.524 0.747 1
O8 0.773 0.022 0.252 1
```

Main lines, low angle first (5 to 70 degrees two-theta):
index, 2θ (°), d (Å), Rel. int.
2 -1 0, 30.57, 2.924, 44.0
1 -2 0, 35.28, 2.544, 100.0
2 0 -1, 35.91, 2.501, 38.9
0 2 0, 42.65, 2.120, 53.5
2 0 2, 60.22, 1.537, 39.9
4 -2 0, 63.70, 1.461, 36.4